[1]
SmSi2: theoretical powder XRD pattern (Cu Kα (weighted mean of Kα1 and Kα2)), based on a crystal structure in the Materials Project, relaxed with PBE.
No peak broadening, texture or thermal motion is included.

a = 7.765 Å, b = 7.765 Å, c = 7.765 Å
α = 149.38°, β = 149.38°, γ = 43.86°
Fractional positions:
Sm 0.375 0.625 0.750
Sm 0.625 0.375 0.250
Si 0.042 0.792 0.250
Si 0.208 0.958 0.250
Si 0.792 0.042 0.750
Si 0.958 0.208 0.750

Largest 6 diffraction maxima, by angle, 2θ = 10–90°:
two_theta, d/Å, I_rel
22.5, 3.944, 40
24.7, 3.602, 24
28.6, 3.119, 52
33.3, 2.690, 100
38.2, 2.358, 43
44.2, 2.050, 30


[2]
CeMg6Mo: theoretical powder XRD pattern (Cu Kα (weighted mean of Kα1 and Kα2)), based on a crystal structure in the Materials Project, relaxed with PBE.
No peak broadening, texture or thermal motion is included.

a = 5.177 Å, b = 6.571 Å, c = 6.571 Å
α = 52.05°, β = 90.00°, γ = 90.00°
Fractional positions:
Ce 0.000 0.000 0.000
Mg 0.000 0.498 0.998
Mg 0.000 0.998 0.498
Mg 0.500 0.159 0.159
Mg 0.500 0.163 0.643
Mg 0.500 0.628 0.628
Mg 0.500 0.643 0.163
Mo 0.000 0.490 0.490

Largest 6 diffraction maxima, by angle, 2θ = 10–90°:
two_theta, d/Å, I_rel
15.0, 5.904, 85
17.1, 5.178, 63
22.8, 3.893, 56
34.6, 2.590, 91
35.0, 2.565, 80
38.9, 2.317, 100


[3]
CeTa3O9: theoretical powder XRD pattern (Cu Kα (weighted mean of Kα1 and Kα2)), based on a crystal structure in the Materials Project, relaxed with PBE.
No peak broadening, texture or thermal motion is included.

a = 7.373 Å, b = 7.373 Å, c = 6.618 Å
α = 93.29°, β = 93.29°, γ = 62.94°
Fractional positions:
Ce 0.237 0.237 0.050
Ce 0.763 0.763 0.950
Ta 0.000 0.500 0.500
Ta 0.216 0.718 0.237
Ta 0.282 0.784 0.763
Ta 0.500 0.000 0.500
Ta 0.718 0.216 0.237
Ta 0.784 0.282 0.763
O 0.008 0.578 0.220
O 0.039 0.039 0.729
O 0.138 0.680 0.933
O 0.189 0.627 0.547
O 0.232 0.232 0.425
O 0.320 0.862 0.067
O 0.373 0.811 0.453
O 0.422 0.992 0.780
O 0.432 0.432 0.205
O 0.568 0.568 0.795
O 0.578 0.008 0.220
O 0.627 0.189 0.547
O 0.680 0.138 0.933
O 0.768 0.768 0.575
O 0.811 0.373 0.453
O 0.862 0.320 0.067
O 0.961 0.961 0.271
O 0.992 0.422 0.780

Largest 6 diffraction maxima, by angle, 2θ = 10–90°:
two_theta, d/Å, I_rel
23.1, 3.849, 96
28.5, 3.137, 88
29.7, 3.006, 100
30.9, 2.898, 93
31.5, 2.844, 77
38.8, 2.321, 51


[4]
AlH12Cl3O6: theoretical powder XRD pattern (Cu Kα (weighted mean of Kα1 and Kα2)), based on a crystal structure in the Materials Project, relaxed with PBE.
No peak broadening, texture or thermal motion is included.

a = 7.945 Å, b = 7.945 Å, c = 7.945 Å
α = 96.47°, β = 96.47°, γ = 96.47°
Fractional positions:
Al 0.000 0.000 0.000
Al 0.500 0.500 0.500
H 0.042 0.742 0.785
H 0.085 0.292 0.887
H 0.113 0.915 0.708
H 0.208 0.415 0.613
H 0.215 0.958 0.258
H 0.242 0.542 0.285
H 0.258 0.215 0.958
H 0.285 0.242 0.542
H 0.292 0.887 0.085
H 0.387 0.792 0.585
H 0.415 0.613 0.208
H 0.458 0.715 0.758
H 0.542 0.285 0.242
H 0.585 0.387 0.792
H 0.613 0.208 0.415
H 0.708 0.113 0.915
H 0.715 0.758 0.458
H 0.742 0.785 0.042
H 0.758 0.458 0.715
H 0.785 0.042 0.742
H 0.792 0.585 0.387
H 0.887 0.085 0.292
H 0.915 0.708 0.113
H 0.958 0.258 0.215
Cl 0.019 0.481 0.750
Cl 0.250 0.981 0.519
Cl 0.481 0.750 0.019
Cl 0.519 0.250 0.981
Cl 0.750 0.019 0.481
Cl 0.981 0.519 0.250
O 0.055 0.870 0.803
O 0.130 0.197 0.945
O 0.197 0.945 0.130
O 0.303 0.370 0.555
O 0.370 0.555 0.303
O 0.445 0.697 0.630
O 0.555 0.303 0.370
O 0.630 0.445 0.697
O 0.697 0.630 0.445
O 0.803 0.055 0.870
O 0.870 0.803 0.055
O 0.945 0.130 0.197

Largest 6 diffraction maxima, by angle, 2θ = 10–90°:
two_theta, d/Å, I_rel
24.1, 3.694, 29
26.7, 3.336, 100
27.3, 3.267, 49
34.8, 2.576, 25
39.0, 2.311, 40
43.6, 2.074, 37